Computed powder X-ray diffraction pattern of Fe2NiO3 for Cu Kα, 1.54184 Å, from a structure optimized by DFT (GGA+U).
Kinematic intensities with the Lorentz-polarization factor, no thermal factor.

Structural model:
```
data_Fe2NiO3
_space_group_name_H-M_alt 'F m m 2'
_space_group_IT_number 42
_space_group_name_Hall 'F 2 -2'
_cell_length_a 4.410
_cell_length_b 13.055
_cell_length_c 4.272
_cell_angle_alpha 90.00
_cell_angle_beta 90.00
_cell_angle_gamma 90.00
loop_
_atom_site_label
_atom_site_type_symbol
_atom_site_fract_x
_atom_site_fract_y
_atom_site_fract_z
_atom_site_occupancy
Fe1 Fe 0.000 0.165 0.000 1
Ni1 Ni 0.000 0.000 0.508 1
O1 O 0.000 0.000 0.009 1
O2 O 0.000 0.163 0.501 1
```

Principal peaks in the range 2θ = 10–80°, in order of falling intensity:
d [Å]	I (rel.)
2.508	1000
2.205	507
2.176	483
2.136	456
1.549	287
1.534	278